Structure and computed powder XRD pattern of Sr2Ga4Cu3Ir (a crystal structure in Alexandria, relaxed with PBE; Cu Kα (λ = 1.5418 Å)).
Neutral-atom scattering factors, no anomalous dispersion.

Principal peaks in the range 10 to 90 degrees two-theta, by angle:
2θ/deg, intensity
16.60, 191
32.81, 468
34.22, 1000
42.52, 579
45.43, 334
47.64, 190
54.72, 212
60.44, 160
61.70, 186
72.49, 219

Structural model:
a = 4.2522 Å, b = 4.2522 Å, c = 10.6801 Å
α = 90.00°, β = 90.00°, γ = 90.00°
Fractional positions:
Sr: 0.0000 0.5000 0.2498
Sr: 0.5000 0.0000 0.7502
Ga: 0.0000 0.0000 0.0000
Ga: 0.0000 0.5000 0.6258
Ga: 0.5000 0.0000 0.3742
Ga: 0.5000 0.5000 0.0000
Cu: 0.0000 0.5000 0.8687
Cu: 0.5000 0.0000 0.1313
Cu: 0.5000 0.5000 0.5000
Ir: 0.0000 0.0000 0.5000

Structure and computed powder XRD pattern of Na2Ca5TiSi4O16F2 (a crystal structure in Alexandria, relaxed with PBE; Cu Kα (λ = 1.5418 Å)).
Neutral-atom scattering factors, no anomalous dispersion.

Principal peaks in the range 10 to 90 degrees two-theta, by angle:
2θ/deg, intensity
28.40, 677
28.58, 150
29.61, 1000
29.71, 772
33.49, 458
35.29, 265
47.09, 519
48.96, 370
53.90, 159
57.56, 321

Structural model:
a = 5.7679 Å, b = 7.4420 Å, c = 9.8115 Å
α = 100.87°, β = 101.65°, γ = 90.19°
Fractional positions:
Na: 0.0000 0.0000 0.0000
Na: 0.4987 0.2313 0.9947
Ca: 0.2817 0.8294 0.3559
Ca: 0.2938 0.3307 0.3503
Ca: 0.7009 0.1484 0.6351
Ca: 0.7059 0.6502 0.6267
Ca: 0.9918 0.4987 0.9888
Ti: 0.4808 0.7517 0.0081
Si: 0.2451 0.9564 0.7185
Si: 0.2473 0.3874 0.7066
Si: 0.7495 0.5246 0.2734
Si: 0.7561 0.0919 0.2794
O: 0.0291 0.5745 0.3357
O: 0.0357 0.0793 0.3436
O: 0.2430 0.7560 0.1020
O: 0.2935 0.1834 0.7512
O: 0.3239 0.9119 0.8796
O: 0.3304 0.5273 0.8633
O: 0.4174 0.8791 0.6105
O: 0.4211 0.4025 0.5980
O: 0.5710 0.6012 0.3774
O: 0.5755 0.0696 0.3837
O: 0.6780 0.5742 0.1137
O: 0.6821 0.9569 0.1206
O: 0.7010 0.2975 0.2381
O: 0.7186 0.6867 0.8736
O: 0.9642 0.9054 0.6608
O: 0.9650 0.4076 0.6541
F: 0.1907 0.2871 0.1065
F: 0.8019 0.2227 0.8792

Structure and computed powder XRD pattern of MnSbPb2Se5 (a crystal structure in Alexandria, relaxed with PBE; Cu Kα (λ = 1.5418 Å)).
Neutral-atom scattering factors, no anomalous dispersion.

Principal peaks in the range 10 to 90 degrees two-theta, by angle:
2θ/deg, intensity
22.88, 225
26.74, 137
29.38, 182
29.65, 315
30.36, 1000
32.30, 143
35.27, 435
43.55, 240
48.08, 128
49.69, 177

Structural model:
a = 9.5282 Å, b = 9.5282 Å, c = 12.8353 Å
α = 90.00°, β = 90.00°, γ = 154.80°
Fractional positions:
Mn: 0.0509 0.9491 0.5000
Mn: 0.9491 0.0509 0.0000
Sb: 0.2980 0.7020 0.1212
Sb: 0.7020 0.2980 0.6212
Pb: 0.3692 0.6308 0.7768
Pb: 0.3930 0.6070 0.4252
Pb: 0.6070 0.3930 0.9252
Pb: 0.6308 0.3692 0.2768
Se: 0.0093 0.9907 0.8347
Se: 0.1557 0.8443 0.1036
Se: 0.1783 0.8217 0.4540
Se: 0.2079 0.7921 0.7699
Se: 0.4822 0.5178 0.0881
Se: 0.5178 0.4822 0.5881
Se: 0.7921 0.2079 0.2699
Se: 0.8217 0.1783 0.9540
Se: 0.8443 0.1557 0.6036
Se: 0.9907 0.0093 0.3347

Structure and computed powder XRD pattern of BaTlCo2Cl8 (a crystal structure in Alexandria, relaxed with PBE; Cu Kα (λ = 1.5418 Å)).
Neutral-atom scattering factors, no anomalous dispersion.

Principal peaks in the range 10 to 90 degrees two-theta, by angle:
2θ/deg, intensity
19.75, 1000
26.45, 519
28.13, 315
29.60, 430
32.70, 463
33.23, 268
42.96, 277
46.69, 273
47.15, 323
48.69, 188

Structural model:
a = 10.1748 Å, b = 10.1748 Å, c = 10.1748 Å
α = 38.68°, β = 38.68°, γ = 38.68°
Fractional positions:
Ba: 0.0000 0.0000 0.0000
Tl: 0.5000 0.5000 0.5000
Co: 0.2425 0.2425 0.2425
Co: 0.7575 0.7575 0.7575
Cl: 0.0630 0.4459 0.6832
Cl: 0.1656 0.1656 0.1656
Cl: 0.3168 0.9370 0.5541
Cl: 0.4459 0.6832 0.0630
Cl: 0.5541 0.3168 0.9370
Cl: 0.6832 0.0630 0.4459
Cl: 0.8344 0.8344 0.8344
Cl: 0.9370 0.5541 0.3168

Structure and computed powder XRD pattern of Ir4RuRh2 (a crystal structure in Alexandria, relaxed with PBE; Cu Kα (λ = 1.5418 Å)).
Neutral-atom scattering factors, no anomalous dispersion.

Principal peaks in the range 10 to 90 degrees two-theta, by angle:
2θ/deg, intensity
17.26, 229
29.04, 166
35.11, 207
40.93, 1000
42.33, 793
45.48, 560
47.37, 314
67.76, 342
82.79, 290
84.56, 329

Structural model:
a = 10.3671 Å, b = 10.3671 Å, c = 3.8384 Å
α = 90.00°, β = 90.00°, γ = 164.94°
Fractional positions:
Ir: 0.0661 0.9339 0.0000
Ir: 0.3686 0.6314 0.5000
Ir: 0.6314 0.3686 0.5000
Ir: 0.9339 0.0661 0.0000
Ru: 0.5000 0.5000 0.5000
Rh: 0.1965 0.8035 0.0000
Rh: 0.8035 0.1965 0.0000

Structure and computed powder XRD pattern of Tl2Hg5Pb12 (a crystal structure in Alexandria, relaxed with PBE; Cu Kα (λ = 1.5418 Å)).
Neutral-atom scattering factors, no anomalous dispersion.

Principal peaks in the range 10 to 90 degrees two-theta, by angle:
2θ/deg, intensity
31.39, 517
31.70, 1000
32.35, 469
34.92, 391
36.97, 340
38.63, 290
51.53, 130
52.00, 126
60.23, 165
62.96, 143

Structural model:
a = 5.9306 Å, b = 7.6139 Å, c = 13.7246 Å
α = 100.59°, β = 102.20°, γ = 99.15°
Fractional positions:
Tl: 0.0061 0.0026 0.2547
Tl: 0.9939 0.9974 0.7453
Hg: 0.0000 0.0000 0.0000
Hg: 0.1876 0.3995 0.2068
Hg: 0.1903 0.3874 0.6974
Hg: 0.8097 0.6126 0.3026
Hg: 0.8124 0.6005 0.7932
Pb: 0.1933 0.3913 0.9508
Pb: 0.1992 0.3830 0.4583
Pb: 0.3873 0.7906 0.6494
Pb: 0.3901 0.7999 0.4042
Pb: 0.3976 0.7881 0.1532
Pb: 0.4074 0.7986 0.8991
Pb: 0.5926 0.2014 0.1009
Pb: 0.6024 0.2119 0.8468
Pb: 0.6099 0.2001 0.5958
Pb: 0.6127 0.2094 0.3505
Pb: 0.8008 0.6170 0.5417
Pb: 0.8067 0.6087 0.0492

Structure and computed powder XRD pattern of Tb4PrDy5 (a crystal structure in Alexandria, relaxed with PBE; Cu Kα (λ = 1.5418 Å)).
Neutral-atom scattering factors, no anomalous dispersion.

Principal peaks in the range 10 to 90 degrees two-theta, by angle:
2θ/deg, intensity
26.45, 198
26.93, 237
31.15, 299
32.09, 251
32.61, 171
33.91, 1000
45.64, 131
49.07, 149
57.21, 114
62.36, 103

Structural model:
a = 8.7938 Å, b = 8.7938 Å, c = 10.9831 Å
α = 90.15°, β = 90.15°, γ = 23.25°
Fractional positions:
Tb: 0.0275 0.0275 0.2472
Tb: 0.3478 0.3478 0.2501
Tb: 0.6522 0.6522 0.7499
Tb: 0.9725 0.9725 0.7528
Pr: 0.5000 0.5000 0.5000
Dy: 0.1734 0.1734 0.0506
Dy: 0.1747 0.1747 0.4447
Dy: 0.5000 0.5000 0.0000
Dy: 0.8253 0.8253 0.5553
Dy: 0.8266 0.8266 0.9494

Please write out number 3 again, unchanged.
Structure and computed powder XRD pattern of MnSbPb2Se5 (a crystal structure in Alexandria, relaxed with PBE; Cu Kα (λ = 1.5418 Å)).
Neutral-atom scattering factors, no anomalous dispersion.

Principal peaks in the range 10 to 90 degrees two-theta, by angle:
2θ/deg, intensity
22.88, 225
26.74, 137
29.38, 182
29.65, 315
30.36, 1000
32.30, 143
35.27, 435
43.55, 240
48.08, 128
49.69, 177

Structural model:
a = 9.5282 Å, b = 9.5282 Å, c = 12.8353 Å
α = 90.00°, β = 90.00°, γ = 154.80°
Fractional positions:
Mn: 0.0509 0.9491 0.5000
Mn: 0.9491 0.0509 0.0000
Sb: 0.2980 0.7020 0.1212
Sb: 0.7020 0.2980 0.6212
Pb: 0.3692 0.6308 0.7768
Pb: 0.3930 0.6070 0.4252
Pb: 0.6070 0.3930 0.9252
Pb: 0.6308 0.3692 0.2768
Se: 0.0093 0.9907 0.8347
Se: 0.1557 0.8443 0.1036
Se: 0.1783 0.8217 0.4540
Se: 0.2079 0.7921 0.7699
Se: 0.4822 0.5178 0.0881
Se: 0.5178 0.4822 0.5881
Se: 0.7921 0.2079 0.2699
Se: 0.8217 0.1783 0.9540
Se: 0.8443 0.1557 0.6036
Se: 0.9907 0.0093 0.3347